# 1
This entry pairs a crystal structure of Y2PaTc with its computed powder X-ray diffraction pattern. Radiation: Cu Kα. Structure: a structure optimized by DFT (PBE).

Atomic structure:
a = 7.1137 Å, b = 9.6941 Å, c = 6.3048 Å
α = 90.00°, β = 90.00°, γ = 90.00°
Fractional positions:
Y  0.1747  0.0634  0.1722
Y  0.1747  0.4366  0.1722
Y  0.3253  0.5634  0.6722
Y  0.3253  0.9366  0.6722
Y  0.6747  0.0634  0.3278
Y  0.6747  0.4366  0.3278
Y  0.8253  0.5634  0.8278
Y  0.8253  0.9366  0.8278
Pa  0.0517  0.2500  0.6622
Pa  0.4483  0.7500  0.1622
Pa  0.5517  0.2500  0.8378
Pa  0.9483  0.7500  0.3378
Tc  0.1379  0.7500  0.0021
Tc  0.3621  0.2500  0.5021
Tc  0.6379  0.7500  0.4979
Tc  0.8621  0.2500  0.9979

Top 10 peaks for 2θ = 10–90°, in order of falling intensity:
31.08 deg, d 2.877, I = 100.0, (0 3 1); 32.41 deg, d 2.763, I = 52.8, (1 1 2); 30.29 deg, d 2.951, I = 48.4, (2 1 1); 16.77 deg, d 5.285, I = 45.3, (0 1 1); 18.30 deg, d 4.847, I = 44.2, (0 2 0); 48.94 deg, d 1.861, I = 42.0, (1 2 3); 34.36 deg, d 2.610, I = 41.1, (2 2 1); 33.62 deg, d 2.666, I = 35.4, (1 3 1); 31.19 deg, d 2.868, I = 35.4, (2 2 0); 39.30 deg, d 2.292, I = 24.9, (2 1 2)

***

# 2
This entry pairs a crystal structure of Ce3GeP2Rh9 with its computed powder X-ray diffraction pattern. Radiation: Cu Kα. Structure: a structure optimized by DFT (PBE).

Atomic structure:
a = 5.7008 Å, b = 5.7008 Å, c = 9.8725 Å
α = 90.00°, β = 90.00°, γ = 120.00°
Fractional positions:
Ce  0.0000  0.0000  0.0000
Ce  0.3333  0.6667  0.6234
Ce  0.6667  0.3333  0.3766
Ge  0.0000  0.0000  0.5000
P  0.3333  0.6667  0.1596
P  0.6667  0.3333  0.8404
Rh  0.0000  0.5000  0.0000
Rh  0.1621  0.3241  0.3080
Rh  0.1621  0.8379  0.3080
Rh  0.3241  0.1621  0.6920
Rh  0.5000  0.0000  0.0000
Rh  0.5000  0.5000  0.0000
Rh  0.6759  0.8379  0.3080
Rh  0.8379  0.1621  0.6920
Rh  0.8379  0.6759  0.6920

Top 10 peaks for 2θ = 10–90°, in order of falling intensity:
40.87 deg, d 2.208, I = 100.0, (2 0 2); 37.56 deg, d 2.395, I = 82.9, (0 2 1); 27.10 deg, d 3.291, I = 51.8, (0 0 3); 52.42 deg, d 1.745, I = 34.5, (0 2 4); 65.49 deg, d 1.425, I = 24.1, (2 2 0); 72.24 deg, d 1.308, I = 18.3, (2 2 3); 80.16 deg, d 1.197, I = 15.0, (0 4 2); 32.70 deg, d 2.738, I = 12.9, (1 0 3); 88.59 deg, d 1.104, I = 12.8, (4 0 4); 78.02 deg, d 1.225, I = 11.1, (4 0 1)